Cs3U2Cl9: theoretical powder diffraction line list (Cu Kα X-rays), based on a cell relaxed with PBE.

Top 10 peaks for 2θ = 10–90°, sorted by position:
2θ = 12.0°, I 24; 2θ = 13.0°, I 62; 2θ = 19.2°, I 31; 2θ = 20.3°, I 28; 2θ = 22.6°, I 100; 2θ = 29.9°, I 73; 2θ = 31.4°, I 54; 2θ = 39.1°, I 55; 2θ = 45.6°, I 37; 2θ = 46.2°, I 36

```
28
Lattice="6.803 3.928 6.271 -6.803 3.928 6.271 0.000 -7.855 6.271" Properties=species:S:1:pos:R:3 pbc="T T T"
Cs -4.467 0.118 7.839
Cs -2.336 -3.810 10.974
Cs 2.132 -3.928 7.839
Cs -2.132 3.928 10.974
Cs 2.336 3.810 7.839
Cs 4.467 -0.118 10.974
U 0.000 0.000 2.946
U 0.000 0.000 6.461
U 0.000 0.000 12.352
U 0.000 0.000 15.868
Cl -5.698 -1.850 10.874
Cl -1.247 -5.860 7.939
Cl -2.188 0.000 4.703
Cl -1.247 -1.996 7.739
Cl 1.094 -1.895 4.703
Cl -4.451 4.010 7.939
Cl 1.094 1.895 4.703
Cl -1.105 2.078 7.739
Cl -2.352 0.082 11.075
Cl 2.352 -0.082 7.739
Cl 1.105 -2.078 11.075
Cl -1.094 -1.895 14.110
Cl 4.451 -4.010 10.874
Cl -1.094 1.895 14.110
Cl 1.247 1.996 11.075
Cl 2.188 0.000 14.110
Cl 1.247 5.860 10.874
Cl 5.698 1.850 7.939
```